[1]
This entry pairs a crystal structure of Ga2GeAuSe6 with its simulated PXRD pattern. Radiation: Cu Kα X-rays. Structure: a cell relaxed with PBE.

Main lines, sorted by position (2θ from 5° to 70°):
| d/Å | 2θ (°) | I (rel.) |
| --- | --- | --- |
| 3.899 | 22.8 | 749 |
| 3.724 | 23.9 | 1000 |
| 3.383 | 26.3 | 762 |
| 3.283 | 27.2 | 769 |
| 2.834 | 31.6 | 708 |
| 1.982 | 45.8 | 809 |

Crystal structure
Cell lengths 8.7600, 8.7600, 6.9634 Å; angles 103.16, 103.16, 83.90 degrees
Atoms (fractional coordinates):
Ga 0.1057 0.2992 0.2820
Ga 0.2992 0.1057 0.7820
Ga 0.7008 0.8943 0.2180
Ga 0.8943 0.7008 0.7180
Ge 0.2416 0.7584 0.2500
Ge 0.7584 0.2416 0.7500
Au 0.3399 0.6601 0.7500
Au 0.6601 0.3399 0.2500
Se 0.0629 0.2007 0.5655
Se 0.1308 0.5641 0.8880
Se 0.2007 0.0629 0.0655
Se 0.3000 0.5037 0.3918
Se 0.4359 0.8692 0.6120
Se 0.4963 0.7000 0.1082
Se 0.5037 0.3000 0.8918
Se 0.5641 0.1308 0.3880
Se 0.7000 0.4963 0.6082
Se 0.7993 0.9371 0.9345
Se 0.8692 0.4359 0.1120
Se 0.9371 0.7993 0.4345


[2]
This entry pairs a crystal structure of Tl2GaGeAu6 with its simulated PXRD pattern. Radiation: Cu Kα X-rays. Structure: a cell relaxed with PBE.

Main lines, sorted by position (2θ from 5° to 70°):
| d/Å | 2θ (°) | I (rel.) |
| --- | --- | --- |
| 2.955 | 30.2 | 419 |
| 2.704 | 33.1 | 394 |
| 2.657 | 33.7 | 1000 |
| 2.575 | 34.8 | 527 |
| 2.179 | 41.4 | 412 |
| 2.162 | 41.8 | 415 |

Crystal structure
Cell lengths 6.7040, 8.7166, 8.0423 Å; angles 90.00, 90.00, 90.00 degrees
Atoms (fractional coordinates):
Tl 0.2500 0.0294 0.2001
Tl 0.2500 0.4706 0.2001
Tl 0.7500 0.5294 0.7999
Tl 0.7500 0.9706 0.7999
Ga 0.2500 0.7500 0.7626
Ga 0.7500 0.2500 0.2374
Ge 0.2500 0.2500 0.7732
Ge 0.7500 0.7500 0.2268
Au 0.0097 0.2500 0.4813
Au 0.0393 0.7500 0.0313
Au 0.2500 0.0025 0.5961
Au 0.2500 0.4975 0.5961
Au 0.4607 0.7500 0.0313
Au 0.4903 0.2500 0.4813
Au 0.5097 0.7500 0.5187
Au 0.5393 0.2500 0.9687
Au 0.7500 0.5025 0.4039
Au 0.7500 0.9975 0.4039
Au 0.9607 0.2500 0.9687
Au 0.9903 0.7500 0.5187


[3]
This entry pairs a crystal structure of Ga2H6Au with its simulated PXRD pattern. Radiation: Cu Kα X-rays. Structure: a cell relaxed with PBE.

Main lines, sorted by position (2θ from 5° to 70°):
| d/Å | 2θ (°) | I (rel.) |
| --- | --- | --- |
| 4.514 | 19.7 | 761 |
| 2.764 | 32.4 | 1000 |
| 2.357 | 38.2 | 430 |
| 1.954 | 46.5 | 193 |
| 1.794 | 50.9 | 188 |
| 1.596 | 57.8 | 384 |

Crystal structure
Cell lengths 5.5280, 5.5280, 5.5280 Å; angles 60.00, 60.00, 60.00 degrees
Atoms (fractional coordinates):
Ga 0.2500 0.2500 0.2500
Ga 0.7500 0.7500 0.7500
H 0.2176 0.2176 0.7824
H 0.2176 0.7824 0.2176
H 0.2176 0.7824 0.7824
H 0.7824 0.2176 0.2176
H 0.7824 0.2176 0.7824
H 0.7824 0.7824 0.2176
Au 0.0000 0.0000 0.0000


[4]
This entry pairs a crystal structure of GaHgHAu with its simulated PXRD pattern. Radiation: Cu Kα X-rays. Structure: a cell relaxed with PBE.

Main lines, sorted by position (2θ from 5° to 70°):
| d/Å | 2θ (°) | I (rel.) |
| --- | --- | --- |
| 7.436 | 11.9 | 1000 |
| 3.178 | 28.1 | 503 |
| 2.991 | 29.9 | 640 |
| 2.454 | 36.6 | 801 |
| 2.123 | 42.6 | 532 |
| 2.074 | 43.6 | 470 |

Crystal structure
Cell lengths 3.2869, 3.2671, 7.5531 Å; angles 90.00, 100.08, 90.00 degrees
Atoms (fractional coordinates):
Ga 0.0000 0.0000 0.0000
Hg 0.2600 0.0000 0.5043
H 0.0950 0.0000 0.2202
Au 0.4354 0.5000 0.8356


[5]
This entry pairs a crystal structure of K2GaH6Au with its simulated PXRD pattern. Radiation: Cu Kα X-rays. Structure: a cell relaxed with PBE.

Main lines, sorted by position (2θ from 5° to 70°):
| d/Å | 2θ (°) | I (rel.) |
| --- | --- | --- |
| 5.024 | 17.7 | 444 |
| 4.757 | 18.7 | 672 |
| 3.119 | 28.6 | 1000 |
| 2.967 | 30.1 | 868 |
| 2.700 | 33.2 | 685 |
| 1.839 | 49.6 | 511 |

Crystal structure
Cell lengths 6.4087, 6.2252, 5.4175 Å; angles 66.37, 62.87, 50.76 degrees
Atoms (fractional coordinates):
K 0.0000 0.0000 0.5000
K 0.5000 0.5000 0.0000
Ga 0.2555 0.2555 0.7445
H 0.0127 0.5698 0.9873
H 0.0950 0.0950 0.9050
H 0.1239 0.4971 0.5029
H 0.4971 0.1239 0.8761
H 0.5539 0.5539 0.4461
H 0.5698 0.0127 0.4302
Au 0.7299 0.7299 0.2701


[6]
This entry pairs a crystal structure of Rb2Ga2HAu2 with its simulated PXRD pattern. Radiation: Cu Kα X-rays. Structure: a cell relaxed with PBE.

Main lines, sorted by position (2θ from 5° to 70°):
| d/Å | 2θ (°) | I (rel.) |
| --- | --- | --- |
| 6.796 | 13.0 | 972 |
| 5.961 | 14.9 | 601 |
| 4.846 | 18.3 | 886 |
| 3.284 | 27.2 | 799 |
| 2.929 | 30.5 | 1000 |
| 2.427 | 37.0 | 814 |

Crystal structure
Cell lengths 6.4961, 6.4961, 8.4508 Å; angles 123.45, 123.45, 43.89 degrees
Atoms (fractional coordinates):
Rb 0.0562 0.0562 0.3185
Rb 0.9438 0.9438 0.6815
Ga 0.3054 0.3054 0.8668
Ga 0.6946 0.6946 0.1332
H 0.5000 0.5000 0.0000
Au 0.2634 0.2634 0.1481
Au 0.7366 0.7366 0.8519


[7]
This entry pairs a crystal structure of Hf2Ga2Au3 with its simulated PXRD pattern. Radiation: Cu Kα X-rays. Structure: a cell relaxed with PBE.

Main lines, sorted by position (2θ from 5° to 70°):
| d/Å | 2θ (°) | I (rel.) |
| --- | --- | --- |
| 3.651 | 24.4 | 304 |
| 2.485 | 36.1 | 499 |
| 2.389 | 37.7 | 1000 |
| 2.252 | 40.0 | 316 |
| 2.183 | 41.4 | 421 |
| 2.122 | 42.6 | 353 |

Crystal structure
Cell lengths 4.3663, 3.0573, 10.2230 Å; angles 90.00, 102.32, 90.00 degrees
Atoms (fractional coordinates):
Hf 0.0789 0.0000 0.1588
Hf 0.9211 0.0000 0.8412
Ga 0.3619 0.5000 0.7232
Ga 0.6381 0.5000 0.2768
Au 0.2065 0.5000 0.4134
Au 0.5000 0.5000 0.0000
Au 0.7935 0.5000 0.5866


[8]
This entry pairs a crystal structure of Hf3Ga3Au2 with its simulated PXRD pattern. Radiation: Cu Kα X-rays. Structure: a cell relaxed with PBE.

Main lines, sorted by position (2θ from 5° to 70°):
| d/Å | 2θ (°) | I (rel.) |
| --- | --- | --- |
| 2.940 | 30.4 | 349 |
| 2.615 | 34.3 | 638 |
| 2.563 | 35.0 | 357 |
| 2.555 | 35.1 | 993 |
| 2.299 | 39.2 | 1000 |
| 2.071 | 43.7 | 700 |

Crystal structure
Cell lengths 5.6142, 5.6142, 13.6647 Å; angles 90.00, 90.00, 136.71 degrees
Atoms (fractional coordinates):
Hf 0.0662 0.9338 0.6210
Hf 0.0662 0.9338 0.8790
Hf 0.3467 0.6533 0.7500
Hf 0.6533 0.3467 0.2500
Hf 0.9338 0.0662 0.1210
Hf 0.9338 0.0662 0.3790
Ga 0.3805 0.6195 0.2500
Ga 0.3962 0.6038 0.5417
Ga 0.3962 0.6038 0.9583
Ga 0.6038 0.3962 0.0417
Ga 0.6038 0.3962 0.4583
Ga 0.6195 0.3805 0.7500
Au 0.2224 0.7776 0.1018
Au 0.2224 0.7776 0.3982
Au 0.7776 0.2224 0.6018
Au 0.7776 0.2224 0.8982


> Which formula does entry 2 have?

Tl2GaGeAu6